Entry 1:
Starting from a DFT-relaxed cell (PBE, Alexandria), the powder diffractogram of Rb2NaZr3S8 was simulated for Cu Kα (weighted mean of Kα1 and Kα2).

Top 10 peaks for 15° ≤ 2θ ≤ 90°, in order of rising 2θ:
4.161 Å, 21.35 deg, I = 25.8; 3.976 Å, 22.36 deg, I = 21.5; 3.452 Å, 25.81 deg, I = 61.2; 3.258 Å, 27.38 deg, I = 26.5; 2.907 Å, 30.75 deg, I = 100.0; 2.417 Å, 37.21 deg, I = 57.1; 2.263 Å, 39.84 deg, I = 43.0; 2.118 Å, 42.68 deg, I = 16.7; 1.897 Å, 47.96 deg, I = 49.8; 1.567 Å, 58.93 deg, I = 19.6

Atomic structure:
```
14
Lattice="3.794 2.190 8.322 -3.794 2.190 8.322 0.000 -4.381 8.322" Properties=species:S:1:pos:R:3 pbc="T T T"
Rb 0.000 0.000 0.000
Rb 0.000 0.000 8.718
Na 0.000 0.000 21.096
Zr 0.000 -2.166 12.923
Zr -1.876 1.083 12.923
Zr 1.876 1.083 12.923
S 0.000 -2.056 6.038
S -1.781 1.028 6.038
S 0.000 0.000 3.178
S -1.729 -0.998 11.427
S 1.781 1.028 6.038
S 0.000 0.000 14.402
S 1.729 -0.998 11.427
S 0.000 1.996 11.427
```

***

Entry 2:
Starting from a DFT-relaxed cell (PBE, Alexandria), the powder diffractogram of CaZn2GaPt was simulated for Cu Kα (weighted mean of Kα1 and Kα2).

Top 10 peaks for 15° ≤ 2θ ≤ 90°, in order of rising 2θ:
5.513 Å, 16.08 deg, I = 58.9; 3.902 Å, 22.79 deg, I = 26.3; 3.866 Å, 23.01 deg, I = 23.4; 2.758 Å, 32.47 deg, I = 25.1; 2.590 Å, 34.63 deg, I = 100.0; 2.086 Å, 43.37 deg, I = 25.3; 2.064 Å, 43.86 deg, I = 24.5; 2.009 Å, 45.13 deg, I = 58.3; 1.950 Å, 46.56 deg, I = 16.1; 1.467 Å, 63.39 deg, I = 15.9

Atomic structure:
```
5
Lattice="-2.064 2.086 5.513 2.064 -2.086 5.513 2.064 2.086 -5.513" Properties=species:S:1:pos:R:3 pbc="T T T"
Ca 0.000 0.000 0.000
Zn 0.000 0.000 6.755
Zn 0.000 2.086 2.736
Ga 0.000 0.000 4.250
Pt 2.064 0.000 2.778
```